This entry pairs a crystal structure of LaNdYSe3 with its calculated XRD peak list. Radiation: CuKα. Structure: a crystal structure in Alexandria, relaxed with GGA-PBE.
Kinematic intensities with the Lorentz-polarization factor, no thermal factor.

Structure:
Cell: 7.296 4.115 10.935 Å, 90.00 102.75 90.00°
Space group P2_1/m (No. 11)
Asymmetric unit:
La  0.159  0.250  0.194 (multiplicity 2)
Nd  0.264  0.750  0.557 (multiplicity 2)
Y  0.378  0.250  0.871 (multiplicity 2)
Se  0.049  0.250  0.671 (multiplicity 2)
Se  0.225  0.750  0.999 (multiplicity 2)
Se  0.445  0.750  0.339 (multiplicity 2)

Peak list (6 most intense, 5° ≤ 2θ ≤ 70°, low angle first)
27.26 deg, rel. 45, hkl 1 1 1; 28.56 deg, rel. 100, hkl 1 1 -2; 33.21 deg, rel. 45, hkl 2 0 2; 35.74 deg, rel. 38, hkl 2 1 1; 40.30 deg, rel. 40, hkl 0 1 4; 44.05 deg, rel. 72, hkl 0 2 0

This entry pairs a crystal structure of Ho8Cu2Ir with its calculated XRD peak list. Radiation: CuKα. Structure: a crystal structure in Alexandria, relaxed with GGA-PBE.
Kinematic intensities with the Lorentz-polarization factor, no thermal factor.

Structure:
Cell: 8.184 13.108 5.899 Å, 90.00 111.78 90.00°
Space group Cm (No. 8)
Asymmetric unit:
Ho  0.000  0.000  0.000 (multiplicity 2)
Ho  0.077  0.374  0.790 (multiplicity 4)
Ho  0.143  0.126  0.562 (multiplicity 4)
Ho  0.222  0.500  0.380 (multiplicity 2)
Ho  0.360  0.201  0.186 (multiplicity 4)
Cu  0.366  0.303  0.695 (multiplicity 4)
Ir  0.362  0.000  0.364 (multiplicity 2)

Peak list (6 most intense, 5° ≤ 2θ ≤ 70°, low angle first)
31.09 deg, rel. 100, hkl 1 3 1; 31.82 deg, rel. 46, hkl 0 4 1; 33.31 deg, rel. 46, hkl 2 0 1; 33.72 deg, rel. 58, hkl 3 1 -1; 36.18 deg, rel. 48, hkl 2 4 0; 38.00 deg, rel. 54, hkl 1 5 -1

This entry pairs a crystal structure of Li4Nd5Hg4 with its calculated XRD peak list. Radiation: CuKα. Structure: a crystal structure in Alexandria, relaxed with GGA-PBE.
Kinematic intensities with the Lorentz-polarization factor, no thermal factor.

Structure:
Cell: 11.759 11.759 4.884 Å, 90.00 90.00 90.00°
Space group I4/m (No. 87)
Asymmetric unit:
Li  0.069  0.603  0.000 (multiplicity 8)
Nd  0.000  0.000  0.500 (multiplicity 2)
Nd  0.131  0.203  0.000 (multiplicity 8)
Hg  0.054  0.738  0.500 (multiplicity 8)

Peak list (6 most intense, 5° ≤ 2θ ≤ 70°, low angle first)
24.88 deg, rel. 68, hkl 1 2 1; 29.21 deg, rel. 100, hkl 3 0 1; 33.03 deg, rel. 52, hkl 2 3 1; 34.10 deg, rel. 41, hkl 2 4 0; 36.48 deg, rel. 73, hkl 4 1 1; 36.81 deg, rel. 41, hkl 0 0 2